This entry pairs a crystal structure of SrLiLa3MnO8 with its computed powder X-ray diffraction pattern. Radiation: Cu Kα (weighted mean of Kα1 and Kα2). Structure: a PBE+U-relaxed structure.
Neutral-atom scattering factors, no anomalous dispersion.

Main lines, low angle first (2θ from 15° to 90°):
2θ 24.18, intensity 57.3, (1 1 2); 2θ 28.15, intensity 25.6, (0 4 0); 2θ 31.45, intensity 100.0, (1 3 2); 2θ 32.93, intensity 78.3, (2 0 0); 2θ 42.74, intensity 30.1, (0 6 0); 2θ 43.86, intensity 56.0, (2 4 0); 2θ 47.27, intensity 41.4, (2 0 4); 2θ 56.12, intensity 18.4, (1 7 2); 2θ 57.86, intensity 18.7, (1 3 6); 2θ 65.61, intensity 19.9, (2 6 4)

Lattice parameters (Å, degrees): 5.4362 12.6796 10.8844 90.00 90.00 90.00
Space group Cmcm (No. 63)
Asymmetric unit:
Sr 0.0000 0.1399 0.2500 (multiplicity 4)
Li 0.0000 0.0000 0.0000 (multiplicity 4)
La 0.0000 0.1354 0.7500 (multiplicity 4)
La 0.0000 0.3623 0.5021 (multiplicity 8)
Mn 0.0000 0.4991 0.7500 (multiplicity 4)
O 0.0000 0.1830 0.5154 (multiplicity 8)
O 0.0000 0.3380 0.7500 (multiplicity 4)
O 0.0000 0.3413 0.2500 (multiplicity 4)
O 0.2443 0.4990 0.1277 (multiplicity 16)